Record 1
Starting from DFT lattice parameters and positions (PBE), the XRD peak list of CeBe2TeO8 was computed for Cu Kα (weighted mean of Kα1 and Kα2).
No peak broadening, texture or thermal motion is included.

Crystal structure
abc: 5.183 5.183 6.438
angles: 90.00 90.00 120.00
Fractional coordinates of all 12 atoms:
Ce: 0.000 0.000 0.000
Be: 0.333 0.667 0.245
Be: 0.667 0.333 0.755
Te: 0.000 0.000 0.500
O: 0.161 0.321 0.302
O: 0.161 0.839 0.302
O: 0.321 0.161 0.698
O: 0.333 0.667 0.992
O: 0.667 0.333 0.008
O: 0.679 0.839 0.302
O: 0.839 0.161 0.698
O: 0.839 0.679 0.698

Most intense lines, 15° ≤ 2θ ≤ 90°, most intense first:
2theta, I_rel
19.78, 100
34.28, 41
44.90, 32
34.61, 27
49.51, 22
61.82, 17

Record 2
Starting from DFT lattice parameters and positions (PBE), the XRD peak list of GaSb2Au2 was computed for Cu Kα (weighted mean of Kα1 and Kα2).
No peak broadening, texture or thermal motion is included.

Crystal structure
abc: 4.438 4.761 12.558
angles: 90.00 90.00 90.00
Fractional coordinates of all 10 atoms:
Ga: 0.250 0.250 0.002
Ga: 0.750 0.750 0.998
Sb: 0.250 0.250 0.490
Sb: 0.250 0.250 0.766
Sb: 0.750 0.750 0.234
Sb: 0.750 0.750 0.510
Au: 0.250 0.750 0.360
Au: 0.250 0.750 0.886
Au: 0.750 0.250 0.114
Au: 0.750 0.250 0.640

Most intense lines, 15° ≤ 2θ ≤ 90°, most intense first:
2theta, I_rel
39.95, 100
24.56, 70
23.45, 53
45.61, 33
37.79, 32
47.46, 31

Record 3
Starting from DFT lattice parameters and positions (PBE), the XRD peak list of Tb3Sm4Ho2 was computed for Cu Kα (weighted mean of Kα1 and Kα2).
No peak broadening, texture or thermal motion is included.

Crystal structure
abc: 9.776 9.776 7.044
angles: 90.00 90.00 119.77
Fractional coordinates of all 18 atoms:
Tb: 0.000 0.000 0.250
Tb: 0.000 0.000 0.750
Tb: 0.330 0.670 0.250
Tb: 0.330 0.670 0.750
Tb: 0.670 0.330 0.250
Tb: 0.670 0.330 0.750
Sm: 0.020 0.676 0.000
Sm: 0.322 0.347 0.000
Sm: 0.324 0.980 0.500
Sm: 0.347 0.322 0.500
Sm: 0.653 0.678 0.500
Sm: 0.676 0.020 0.500
Sm: 0.678 0.653 0.000
Sm: 0.980 0.324 0.000
Ho: 0.021 0.344 0.500
Ho: 0.344 0.021 0.000
Ho: 0.656 0.979 0.000
Ho: 0.979 0.656 0.500

Most intense lines, 15° ≤ 2θ ≤ 90°, most intense first:
2theta, I_rel
31.29, 100
31.63, 70
31.74, 34
56.12, 24
45.15, 23
62.08, 21

Record 4
Starting from DFT lattice parameters and positions (PBE), the XRD peak list of Ac2Sm3UN6 was computed for Cu Kα (weighted mean of Kα1 and Kα2).
No peak broadening, texture or thermal motion is included.

Crystal structure
abc: 6.415 6.415 6.266
angles: 99.72 99.72 120.45
Fractional coordinates of all 12 atoms:
Ac: 0.167 0.833 0.000
Ac: 0.833 0.167 0.000
Sm: 0.000 0.000 0.500
Sm: 0.342 0.658 0.500
Sm: 0.658 0.342 0.500
U: 0.500 0.500 0.000
N: 0.137 0.420 0.763
N: 0.285 0.285 0.247
N: 0.420 0.137 0.763
N: 0.580 0.863 0.237
N: 0.715 0.715 0.753
N: 0.863 0.580 0.237

Most intense lines, 15° ≤ 2θ ≤ 90°, most intense first:
2theta, I_rel
29.62, 100
34.56, 88
29.82, 49
30.34, 47
34.69, 44
49.44, 32

Record 5
Starting from DFT lattice parameters and positions (PBE), the XRD peak list of Nd12DyEr2 was computed for Cu Kα (weighted mean of Kα1 and Kα2).
No peak broadening, texture or thermal motion is included.

Crystal structure
abc: 6.850 6.850 25.016
angles: 90.00 90.00 116.46
Fractional coordinates of all 30 atoms:
Nd: 0.001 0.501 0.130
Nd: 0.002 0.998 0.926
Nd: 0.019 0.519 0.586
Nd: 0.024 0.976 0.440
Nd: 0.250 0.250 0.198
Nd: 0.250 0.250 0.324
Nd: 0.250 0.250 0.676
Nd: 0.250 0.250 0.802
Nd: 0.476 0.524 0.440
Nd: 0.481 0.981 0.586
Nd: 0.498 0.502 0.926
Nd: 0.499 0.999 0.130
Nd: 0.501 0.001 0.870
Nd: 0.502 0.498 0.074
Nd: 0.519 0.019 0.414
Nd: 0.524 0.476 0.560
Nd: 0.750 0.750 0.198
Nd: 0.750 0.750 0.324
Nd: 0.750 0.750 0.676
Nd: 0.750 0.750 0.802
Nd: 0.976 0.024 0.560
Nd: 0.981 0.481 0.414
Nd: 0.998 0.002 0.074
Nd: 0.999 0.499 0.870
Dy: 0.250 0.750 0.001
Dy: 0.750 0.250 0.999
Er: 0.250 0.750 0.270
Er: 0.250 0.750 0.733
Er: 0.750 0.250 0.267
Er: 0.750 0.250 0.730

Most intense lines, 15° ≤ 2θ ≤ 90°, most intense first:
2theta, I_rel
32.51, 100
30.70, 65
30.01, 65
29.32, 44
36.37, 32
28.57, 27

Record 6
Starting from DFT lattice parameters and positions (PBE), the XRD peak list of Li2Ag3As2 was computed for Cu Kα (weighted mean of Kα1 and Kα2).
No peak broadening, texture or thermal motion is included.

Crystal structure
abc: 5.196 5.196 6.572
angles: 99.26 99.26 49.88
Fractional coordinates of all 7 atoms:
Li: 0.115 0.115 0.366
Li: 0.885 0.885 0.634
Ag: 0.185 0.185 0.876
Ag: 0.500 0.500 0.000
Ag: 0.815 0.815 0.124
As: 0.395 0.395 0.337
As: 0.605 0.605 0.663

Most intense lines, 15° ≤ 2θ ≤ 90°, most intense first:
2theta, I_rel
40.17, 100
34.44, 87
21.51, 74
46.40, 53
41.20, 53
35.54, 45

Record 7
Starting from DFT lattice parameters and positions (PBE), the XRD peak list of Mn2TcIr was computed for Cu Kα (weighted mean of Kα1 and Kα2).
No peak broadening, texture or thermal motion is included.

Crystal structure
abc: 4.524 4.524 4.524
angles: 130.77 130.77 72.18
Fractional coordinates of all 4 atoms:
Mn: 0.250 0.750 0.500
Mn: 0.750 0.250 0.500
Tc: 0.000 0.000 0.000
Ir: 0.500 0.500 0.000

Most intense lines, 15° ≤ 2θ ≤ 90°, most intense first:
2theta, I_rel
41.96, 100
48.30, 33
85.75, 25
24.35, 20
71.98, 19
33.63, 18

Record 8
Starting from DFT lattice parameters and positions (PBE), the XRD peak list of DyGeAu was computed for Cu Kα (weighted mean of Kα1 and Kα2).
No peak broadening, texture or thermal motion is included.

Crystal structure
abc: 4.477 4.477 7.319
angles: 90.00 90.00 120.00
Fractional coordinates of all 6 atoms:
Dy: 0.000 0.000 0.000
Dy: 0.000 0.000 0.500
Ge: 0.333 0.667 0.208
Ge: 0.667 0.333 0.708
Au: 0.333 0.667 0.789
Au: 0.667 0.333 0.289

Most intense lines, 15° ≤ 2θ ≤ 90°, most intense first:
2theta, I_rel
33.68, 100
40.29, 73
26.01, 34
53.49, 27
69.04, 25
43.84, 20